Structure and computed powder XRD pattern of LiTiP4O12 (a DFT-relaxed cell (GGA-PBE, the Materials Project); Cu Kα, 1.54184 Å).
Lines closer than 0.1° are merged.

Atomic structure:
abc: 15.3979 7.8683 9.1947
angles: 90.00 120.15 90.00
Space group C2/c (No. 15)
Asymmetric unit:
Li 0.0000 0.0000 0.0000 [4 per cell]
Ti 0.0000 0.3167 0.2500 [4 per cell]
P 0.1385 0.4395 0.6430 [8 per cell]
P 0.1478 0.1924 0.1009 [8 per cell]
O 0.0669 0.4845 0.7022 [8 per cell]
O 0.0901 0.1078 0.9344 [8 per cell]
O 0.0986 0.1725 0.2093 [8 per cell]
O 0.1053 0.3074 0.5059 [8 per cell]
O 0.1703 0.3900 0.0847 [8 per cell]
O 0.2397 0.3787 0.8030 [8 per cell]

Main lines, by intensity (10 to 90 degrees two-theta):
(hkl), 2θ/deg, I_rel
1 1 1, 19.26, 100
2 2 -1, 25.82, 83
1 1 0, 13.07, 63
4 0 -2, 24.80, 50
2 0 2, 31.48, 49
2 0 -2, 19.42, 48
1 1 2, 28.80, 25
4 0 0, 26.78, 24
4 2 -1, 32.62, 20
5 3 -3, 48.73, 16


Structure and computed powder XRD pattern of Mg2Ti9O13 (a DFT-relaxed cell (GGA-PBE, the Materials Project); Cu Kα, 1.54184 Å).
Lines closer than 0.1° are merged.

Atomic structure:
abc: 9.8701 2.9508 16.5644
angles: 90.00 99.33 90.00
Space group C2/m (No. 12)
Asymmetric unit:
Mg 0.2165 0.0000 0.2268 [4 per cell]
Ti 0.0000 0.5000 0.5000 [2 per cell]
Ti 0.0091 0.0000 0.6645 [4 per cell]
Ti 0.0669 0.0000 0.8827 [4 per cell]
Ti 0.1550 0.5000 0.0362 [4 per cell]
Ti 0.2361 0.0000 0.5749 [4 per cell]
O 0.0000 0.0000 0.0000 [2 per cell]
O 0.0831 0.5000 0.1483 [4 per cell]
O 0.1228 0.0000 0.4506 [4 per cell]
O 0.1272 0.5000 0.6233 [4 per cell]
O 0.1290 0.0000 0.7703 [4 per cell]
O 0.1289 0.5000 0.3114 [4 per cell]
O 0.2139 0.5000 0.9118 [4 per cell]

Main lines, by intensity (10 to 90 degrees two-theta):
(hkl), 2θ/deg, I_rel
0 0 2, 10.83, 100
3 1 -3, 42.91, 78
2 0 -6, 35.05, 76
2 0 5, 35.47, 58
3 1 1, 42.35, 53
3 1 -4, 44.88, 42
3 1 2, 44.08, 42
0 2 0, 63.00, 38
3 1 -2, 41.63, 35
4 0 -1, 36.41, 29


Structure and computed powder XRD pattern of Pr5Mg (a DFT-relaxed cell (GGA-PBE, the Materials Project); Cu Kα, 1.54184 Å).
Lines closer than 0.1° are merged.

Atomic structure:
abc: 6.3879 6.3879 17.3542
angles: 90.00 90.00 120.00
Space group R32 (No. 155, hexagonal axes)
Asymmetric unit:
Pr 0.0000 0.0000 0.1603 [6 per cell]
Pr 0.0000 0.6347 0.0000 [9 per cell]
Mg 0.0000 0.0000 0.5000 [3 per cell]

Main lines, by intensity (10 to 90 degrees two-theta):
(hkl), 2θ/deg, I_rel
1 1 3, 32.01, 100
1 1 0, 27.93, 25
0 0 6, 30.92, 25
3 0 0, 49.42, 21
3 0 6, 59.44, 20
1 1 9, 55.68, 20
1 1 6, 42.15, 16
2 2 3, 60.10, 14
4 1 3, 81.44, 10
0 1 2, 19.03, 9


Structure and computed powder XRD pattern of Ce5Rh4 (a DFT-relaxed cell (GGA-PBE, the Materials Project); Cu Kα, 1.54184 Å).
Lines closer than 0.1° are merged.

Atomic structure:
abc: 7.3562 15.0758 7.5159
angles: 90.00 90.00 90.00
Space group Pnma (No. 62)
Asymmetric unit:
Ce 0.0115 0.0909 0.1785 [8 per cell]
Ce 0.1654 0.1217 0.6654 [8 per cell]
Ce 0.1781 0.7500 0.5265 [4 per cell]
Rh 0.0279 0.7500 0.1220 [4 per cell]
Rh 0.1871 0.5394 0.4662 [8 per cell]
Rh 0.1930 0.2500 0.3591 [4 per cell]

Main lines, by intensity (10 to 90 degrees two-theta):
(hkl), 2θ/deg, I_rel
2 3 1, 32.43, 100
1 3 2, 32.13, 99
3 0 1, 38.62, 81
1 1 3, 38.42, 41
0 4 2, 33.68, 40
1 5 1, 34.28, 33
0 6 0, 35.74, 31
1 4 2, 35.89, 28
2 4 1, 36.16, 25
2 0 2, 34.09, 23


Structure and computed powder XRD pattern of Gd2Br3N (a DFT-relaxed cell (GGA-PBE, the Materials Project); Cu Kα, 1.54184 Å).
Lines closer than 0.1° are merged.

Atomic structure:
abc: 8.3999 8.4590 10.3839
angles: 106.79 104.37 98.47
Space group P-1 (No. 2)
Asymmetric unit:
Gd 0.0741 0.4200 0.3592 [2 per cell]
Gd 0.1997 0.2603 0.6775 [2 per cell]
Gd 0.3471 0.5785 0.0602 [2 per cell]
Gd 0.4004 0.6577 0.7291 [2 per cell]
Br 0.0321 0.6396 0.1727 [2 per cell]
Br 0.0730 0.0748 0.3688 [2 per cell]
Br 0.2177 0.8116 0.9075 [2 per cell]
Br 0.2344 0.2638 0.1199 [2 per cell]
Br 0.4208 0.6563 0.4394 [2 per cell]
Br 0.4545 0.0629 0.7482 [2 per cell]
N 0.1516 0.4773 0.5947 [2 per cell]
N 0.4014 0.4728 0.8527 [2 per cell]

Main lines, by intensity (10 to 90 degrees two-theta):
(hkl), 2θ/deg, I_rel
0 1 0, 11.24, 100
0 3 -2, 32.95, 55
2 2 0, 35.83, 45
2 0 1, 27.01, 43
1 0 -1, 12.19, 34
2 1 0, 27.52, 34
3 -2 0, 36.30, 30
1 2 1, 32.70, 28
1 -1 3, 31.29, 28
-2 1 3, 33.98, 25


Structure and computed powder XRD pattern of CeZn2PO2 (a DFT-relaxed cell (GGA-PBE, the Materials Project); Cu Kα, 1.54184 Å).
Lines closer than 0.1° are merged.

Atomic structure:
abc: 3.0333 3.0333 12.5374
angles: 90.00 90.00 90.00
Space group P4/mmm (No. 123)
Asymmetric unit:
Ce 0.0000 0.0000 0.0000 [1 per cell]
Zn 0.0000 0.0000 0.3081 [2 per cell]
P 0.0000 0.0000 0.5000 [1 per cell]
O 0.0000 0.0000 0.1578 [2 per cell]

Main lines, by intensity (10 to 90 degrees two-theta):
(hkl), 2θ/deg, I_rel
1 0 0, 29.45, 100
1 0 3, 36.61, 38
1 1 0, 42.13, 36
0 0 3, 21.26, 36
1 0 6, 53.23, 24
1 1 3, 47.66, 18
1 0 4, 41.43, 17
2 1 0, 69.26, 15
1 1 6, 62.01, 15
0 0 4, 28.48, 12


Structure and computed powder XRD pattern of Nd12InNi6 (a DFT-relaxed cell (GGA-PBE, the Materials Project); Cu Kα, 1.54184 Å).
Lines closer than 0.1° are merged.

Atomic structure:
abc: 10.0806 10.0806 10.0806
angles: 90.00 90.00 90.00
Space group Im-3 (No. 204)
Asymmetric unit:
Nd 0.0000 0.3069 0.1860 [24 per cell]
In 0.0000 0.0000 0.0000 [2 per cell]
Ni 0.0000 0.1216 0.5000 [12 per cell]

Main lines, by intensity (10 to 90 degrees two-theta):
(hkl), 2θ/deg, I_rel
3 1 2, 33.25, 100
3 0 1, 27.99, 42
2 2 2, 30.72, 36
5 3 0, 52.97, 33
5 2 3, 56.25, 33
5 0 1, 45.90, 22
5 3 4, 65.47, 17
7 0 5, 82.27, 16
8 2 2, 80.92, 16
6 0 0, 54.63, 14


Structure and computed powder XRD pattern of KTmP2O7 (a DFT-relaxed cell (GGA-PBE, the Materials Project); Cu Kα, 1.54184 Å).
Lines closer than 0.1° are merged.

Atomic structure:
abc: 7.7748 10.9161 8.7244
angles: 90.00 106.62 90.00
Space group P2_1/c (No. 14)
Asymmetric unit:
K 0.1771 0.1786 0.0601 [4 per cell]
Tm 0.2363 0.6003 0.2569 [4 per cell]
P 0.1301 0.5977 0.8208 [4 per cell]
P 0.4361 0.6345 0.6929 [4 per cell]
O 0.0056 0.0005 0.2210 [4 per cell]
O 0.0754 0.7262 0.7508 [4 per cell]
O 0.1451 0.5914 0.9973 [4 per cell]
O 0.3267 0.6101 0.5204 [4 per cell]
O 0.3291 0.5653 0.8045 [4 per cell]
O 0.3790 0.0743 0.7637 [4 per cell]
O 0.4523 0.7301 0.2417 [4 per cell]

Main lines, by intensity (10 to 90 degrees two-theta):
(hkl), 2θ/deg, I_rel
1 1 0, 14.39, 100
2 2 -1, 28.44, 90
0 0 2, 21.26, 75
1 1 -1, 15.74, 73
1 3 0, 27.28, 70
1 1 2, 28.51, 40
3 5 -1, 55.02, 27
1 1 -3, 31.97, 24
2 0 0, 23.89, 24
1 1 -2, 22.72, 24


Structure and computed powder XRD pattern of Cs2NaTaCl6 (a DFT-relaxed cell (GGA-PBE, the Materials Project); Cu Kα, 1.54184 Å).
Lines closer than 0.1° are merged.

Atomic structure:
abc: 10.6171 10.6171 10.6171
angles: 90.00 90.00 90.00
Space group Fm-3m (No. 225)
Asymmetric unit:
Cs 0.2500 0.2500 0.2500 [8 per cell]
Na 0.0000 0.0000 0.0000 [4 per cell]
Ta 0.0000 0.0000 0.5000 [4 per cell]
Cl 0.0000 0.0000 0.2654 [24 per cell]

Main lines, by intensity (10 to 90 degrees two-theta):
(hkl), 2θ/deg, I_rel
2 2 0, 23.70, 100
4 0 0, 33.77, 60
4 2 2, 41.68, 45
1 1 1, 14.45, 42
4 4 0, 48.50, 40
6 4 2, 65.83, 25
6 2 0, 54.68, 22
2 2 2, 29.14, 20
3 1 1, 27.87, 19
8 4 0, 81.00, 17


Structure and computed powder XRD pattern of CaSnO6 (a DFT-relaxed cell (GGA-PBE, the Materials Project); Cu Kα, 1.54184 Å).
Lines closer than 0.1° are merged.

Atomic structure:
abc: 7.4738 7.4738 7.4738
angles: 90.00 90.00 90.00
Space group Pn-3 (No. 201, origin choice 2)
Asymmetric unit:
Ca 0.0000 0.0000 0.0000 [4 per cell]
Sn 0.0000 0.0000 0.5000 [4 per cell]
O 0.0749 0.6527 0.7573 [24 per cell]

Main lines, by intensity (10 to 90 degrees two-theta):
(hkl), 2θ/deg, I_rel
2 0 0, 23.81, 100
2 2 0, 33.93, 95
4 2 0, 54.94, 69
1 1 1, 20.58, 62
2 2 2, 41.87, 53
4 2 2, 60.71, 45
3 1 1, 40.01, 33
4 4 2, 76.47, 23
6 0 2, 81.44, 22
4 0 0, 48.74, 20